1.
The following is a computed powder X-ray diffraction pattern of Li5AuO4. It was derived from the GGA-PBE geometry in the Materials Project, using CuKα.
No peak broadening, texture or thermal motion is included.

Atomic structure:
Cell: 3.608 5.382 5.558 Å, 79.96 73.24 71.32°
Fractional coordinates of all 10 atoms:
1 Li 0.000 0.000 0.000
2 Li 0.185 0.037 0.604
3 Li 0.318 0.338 0.033
4 Li 0.682 0.662 0.967
5 Li 0.815 0.963 0.396
6 Au 0.500 0.500 0.500
7 O 0.235 0.688 0.822
8 O 0.415 0.859 0.287
9 O 0.585 0.141 0.713
10 O 0.765 0.312 0.178

The 10 most intense peaks (5 to 70 degrees two-theta), most intense first:
d (Å), two_theta, I (rel.)
5.300, 16.73, 100
3.224, 27.67, 95
5.078, 17.46, 86
3.310, 26.94, 49
3.187, 28.00, 45
3.844, 23.14, 44
2.441, 36.82, 42
3.512, 25.36, 38
2.538, 35.36, 33
2.369, 37.98, 29

---

2.
The following is a computed powder X-ray diffraction pattern of Li5AuO4. It was derived from the GGA-PBE geometry in the Materials Project, using CuKα.
No peak broadening, texture or thermal motion is included.

Atomic structure:
Cell: 10.303 10.055 4.780 Å, 79.34 73.54 27.13°
Fractional coordinates of all 20 atoms:
1 Li 0.016 0.016 0.734
2 Li 0.125 0.125 0.125
3 Li 0.229 0.229 0.521
4 Li 0.266 0.266 0.984
5 Li 0.479 0.479 0.771
6 Li 0.521 0.521 0.229
7 Li 0.734 0.734 0.016
8 Li 0.771 0.771 0.479
9 Li 0.875 0.875 0.875
10 Li 0.984 0.984 0.266
11 Au 0.375 0.375 0.375
12 Au 0.625 0.625 0.625
13 O 0.057 0.546 0.702
14 O 0.195 0.702 0.546
15 O 0.298 0.805 0.943
16 O 0.454 0.943 0.805
17 O 0.546 0.057 0.195
18 O 0.702 0.195 0.057
19 O 0.805 0.298 0.454
20 O 0.943 0.454 0.298

The 10 most intense peaks (5 to 70 degrees two-theta), most intense first:
d (Å), two_theta, I (rel.)
4.530, 19.60, 100
3.482, 25.59, 85
3.768, 23.61, 67
4.801, 18.48, 41
2.964, 30.15, 36
2.182, 41.38, 32
2.097, 43.15, 31
1.672, 54.91, 25
2.848, 31.41, 22
2.364, 38.06, 20

---

3.
The following is a computed powder X-ray diffraction pattern of Li5AuO4. It was derived from the GGA-PBE geometry in the Materials Project, using CuKα.
No peak broadening, texture or thermal motion is included.

Atomic structure:
Cell: 5.365 5.365 4.777 Å, 95.65 95.65 127.13°
Fractional coordinates of all 10 atoms:
1 Li 0.000 0.000 0.000
2 Li 0.210 0.790 0.500
3 Li 0.284 0.716 0.000
4 Li 0.716 0.284 0.000
5 Li 0.790 0.210 0.500
6 Au 0.500 0.500 0.500
7 O 0.107 0.402 0.250
8 O 0.402 0.107 0.250
9 O 0.598 0.893 0.750
10 O 0.893 0.598 0.750

The 10 most intense peaks (5 to 70 degrees two-theta), most intense first:
d (Å), two_theta, I (rel.)
3.479, 25.61, 100
4.192, 21.20, 100
4.659, 19.05, 63
3.344, 26.65, 58
4.804, 18.47, 48
2.182, 41.38, 37
2.096, 43.16, 36
2.639, 33.97, 31
1.672, 54.91, 30
2.847, 31.42, 25

---

4.
The following is a computed powder X-ray diffraction pattern of Li2PbAu. It was derived from the GGA-PBE geometry in the Materials Project, using CuKα.
No peak broadening, texture or thermal motion is included.

Atomic structure:
Cell: 6.741 6.741 6.741 Å, 90.00 90.00 90.00°
Fractional coordinates of all 16 atoms:
1 Li 0.000 0.000 0.000
2 Li 0.000 0.500 0.500
3 Li 0.250 0.250 0.250
4 Li 0.250 0.750 0.750
5 Li 0.500 0.000 0.500
6 Li 0.500 0.500 0.000
7 Li 0.750 0.250 0.750
8 Li 0.750 0.750 0.250
9 Pb 0.000 0.000 0.500
10 Pb 0.000 0.500 0.000
11 Pb 0.500 0.000 0.000
12 Pb 0.500 0.500 0.500
13 Au 0.250 0.250 0.750
14 Au 0.250 0.750 0.250
15 Au 0.750 0.250 0.250
16 Au 0.750 0.750 0.750

The 6 most intense peaks (5 to 70 degrees two-theta), most intense first:
d (Å), two_theta, I (rel.)
3.892, 22.85, 100
2.383, 37.74, 94
2.033, 44.58, 54
1.376, 68.14, 35
1.547, 59.80, 23
1.685, 54.44, 17

---

5.
The following is a computed powder X-ray diffraction pattern of LiPdAu2. It was derived from the GGA-PBE geometry in the Materials Project, using CuKα.
No peak broadening, texture or thermal motion is included.

Atomic structure:
Cell: 6.394 6.394 6.394 Å, 90.00 90.00 90.00°
Fractional coordinates of all 16 atoms:
1 Li 0.000 0.000 0.000
2 Li 0.000 0.500 0.500
3 Li 0.500 0.000 0.500
4 Li 0.500 0.500 0.000
5 Pd 0.000 0.000 0.500
6 Pd 0.000 0.500 0.000
7 Pd 0.500 0.000 0.000
8 Pd 0.500 0.500 0.500
9 Au 0.250 0.250 0.250
10 Au 0.250 0.250 0.750
11 Au 0.250 0.750 0.250
12 Au 0.250 0.750 0.750
13 Au 0.750 0.250 0.250
14 Au 0.750 0.250 0.750
15 Au 0.750 0.750 0.250
16 Au 0.750 0.750 0.750

The 8 most intense peaks (5 to 70 degrees two-theta), most intense first:
d (Å), two_theta, I (rel.)
2.261, 39.88, 100
3.197, 27.91, 39
1.599, 57.66, 17
1.430, 65.25, 15
1.846, 49.37, 11
3.692, 24.11, 10
1.928, 47.14, 5
1.467, 63.41, 2

---

6.
The following is a computed powder X-ray diffraction pattern of LiPrAu2. It was derived from the GGA-PBE geometry in the Materials Project, using CuKα.
No peak broadening, texture or thermal motion is included.

Atomic structure:
Cell: 7.121 7.121 7.121 Å, 90.00 90.00 90.00°
Fractional coordinates of all 16 atoms:
1 Li 0.000 0.000 0.000
2 Li 0.000 0.500 0.500
3 Li 0.500 0.000 0.500
4 Li 0.500 0.500 0.000
5 Pr 0.000 0.000 0.500
6 Pr 0.000 0.500 0.000
7 Pr 0.500 0.000 0.000
8 Pr 0.500 0.500 0.500
9 Au 0.250 0.250 0.250
10 Au 0.250 0.250 0.750
11 Au 0.250 0.750 0.250
12 Au 0.250 0.750 0.750
13 Au 0.750 0.250 0.250
14 Au 0.750 0.250 0.750
15 Au 0.750 0.750 0.250
16 Au 0.750 0.750 0.750

The 10 most intense peaks (5 to 70 degrees two-theta), most intense first:
d (Å), two_theta, I (rel.)
2.518, 35.66, 100
1.454, 64.06, 37
3.560, 25.01, 25
1.780, 51.32, 18
4.111, 21.62, 15
1.592, 57.92, 11
2.147, 42.09, 8
2.056, 44.05, 8
1.634, 56.32, 3
1.370, 68.46, 2

---

7.
The following is a computed powder X-ray diffraction pattern of Li4AuS4. It was derived from the GGA-PBE geometry in the Materials Project, using CuKα.
No peak broadening, texture or thermal motion is included.

Atomic structure:
Cell: 8.260 8.254 7.015 Å, 64.91 64.82 50.28°
Fractional coordinates of all 18 atoms:
1 Li 0.083 0.614 0.402
2 Li 0.386 0.917 0.599
3 Li 0.401 0.402 0.614
4 Li 0.402 0.401 0.083
5 Li 0.598 0.599 0.917
6 Li 0.599 0.598 0.386
7 Li 0.614 0.083 0.401
8 Li 0.917 0.386 0.598
9 Au 0.125 0.125 0.125
10 Au 0.875 0.875 0.875
11 S 0.226 0.228 0.716
12 S 0.228 0.226 0.330
13 S 0.284 0.670 0.774
14 S 0.330 0.716 0.228
15 S 0.670 0.284 0.772
16 S 0.716 0.330 0.226
17 S 0.772 0.774 0.670
18 S 0.774 0.772 0.284

The 10 most intense peaks (5 to 70 degrees two-theta), most intense first:
d (Å), two_theta, I (rel.)
6.195, 14.30, 100
3.966, 22.42, 91
3.728, 23.87, 87
3.508, 25.39, 48
2.103, 43.01, 46
3.052, 29.26, 40
2.555, 35.13, 38
2.020, 44.87, 36
1.925, 47.22, 30
1.983, 45.76, 30

---

8.
The following is a computed powder X-ray diffraction pattern of Li2SbAu. It was derived from the GGA-PBE geometry in the Materials Project, using CuKα.
No peak broadening, texture or thermal motion is included.

Atomic structure:
Cell: 6.616 6.616 6.616 Å, 90.00 90.00 90.00°
Fractional coordinates of all 16 atoms:
1 Li 0.000 0.000 0.000
2 Li 0.000 0.500 0.500
3 Li 0.250 0.250 0.250
4 Li 0.250 0.750 0.750
5 Li 0.500 0.000 0.500
6 Li 0.500 0.500 0.000
7 Li 0.750 0.250 0.750
8 Li 0.750 0.750 0.250
9 Sb 0.000 0.000 0.500
10 Sb 0.000 0.500 0.000
11 Sb 0.500 0.000 0.000
12 Sb 0.500 0.500 0.500
13 Au 0.250 0.250 0.750
14 Au 0.250 0.750 0.250
15 Au 0.750 0.250 0.250
16 Au 0.750 0.750 0.750

The 9 most intense peaks (5 to 70 degrees two-theta), most intense first:
d (Å), two_theta, I (rel.)
3.820, 23.29, 100
2.339, 38.48, 89
1.995, 45.47, 52
1.351, 69.61, 31
1.518, 61.05, 22
1.654, 55.56, 15
3.308, 26.95, 6
1.479, 62.81, 3
1.910, 47.61, 2